Record 1
Computed PXRD pattern of Pr2CuGeS5 for Cu Kα, from a PBE-relaxed structure.
Intensities are scaled so that the largest is 100.

Peak list (10 most intense, 10 to 90 degrees two-theta, most intense first)
index  2theta  d_spacing  Rel. int.
1 5 2  38.0  2.369  100
0 2 3  26.1  3.414  85
1 1 2  27.6  3.237  85
1 1 3  33.0  2.717  70
1 3 2  31.4  2.851  62
0 4 0  20.9  4.258  60
1 3 1  28.1  3.178  59
2 0 0  44.4  2.042  58
1 5 3  42.2  2.141  47
1 1 5  46.6  1.948  46

Cell and atoms:
a b c (Å): 4.084 17.030 11.180
angles (deg): 90.00 90.00 90.00
Space group Cmc2_1 (No. 36)
Symmetry-distinct sites (fractional):
Pr (0.000, 0.114, 0.000) [4 per cell]
Pr (0.000, 0.123, 0.621) [4 per cell]
Cu (0.000, 0.248, 0.418) [4 per cell]
Ge (0.000, 0.411, 0.792) [4 per cell]
S (0.000, 0.043, 0.376) [4 per cell]
S (0.000, 0.302, 0.967) [4 per cell]
S (0.000, 0.308, 0.648) [4 per cell]
S (0.000, 0.360, 0.314) [4 per cell]
S (0.000, 0.494, 0.608) [4 per cell]

***

Record 2
Computed PXRD pattern of ZrF for Cu Kα, from a PBE-relaxed structure.
Intensities are scaled so that the largest is 100.

Peak list (10 most intense, 10 to 90 degrees two-theta, most intense first)
index  2theta  d_spacing  Rel. int.
0 0 3  11.3  7.837  100
0 1 2  32.8  2.731  80
0 1 5  37.3  2.411  68
1 0 7  41.9  2.154  66
1 0 4  35.4  2.533  38
1 1 0  56.8  1.621  32
0 0 6  22.7  3.919  25
0 1 11  53.9  1.701  24
0 0 9  34.3  2.612  20
1 1 9  68.1  1.377  17

Cell and atoms:
a b c (Å): 3.2420 3.2420 23.5113
angles (deg): 90.00 90.00 120.00
Space group R3m (No. 160, hexagonal axes)
Symmetry-distinct sites (fractional):
Zr (0.0000, 0.0000, 0.0000) [3 per cell]
Zr (0.0000, 0.0000, 0.4373) [3 per cell]
F (0.0000, 0.0000, 0.1626) [3 per cell]
F (0.0000, 0.0000, 0.6105) [3 per cell]

***

Record 3
Computed PXRD pattern of SrCdAu6 for Cu Kα, from a PBE-relaxed structure.
Intensities are scaled so that the largest is 100.

Peak list (10 most intense, 10 to 90 degrees two-theta, most intense first)
index  2theta  d_spacing  Rel. int.
2 0 1  36.4  2.467  100
2 1 1  40.0  2.252  44
3 0 2  60.5  1.530  23
3 2 1  63.1  1.474  23
4 1 2  79.7  1.204  22
2 0 0  32.5  2.758  19
2 2 2  57.9  1.592  14
4 0 0  68.0  1.379  13
1 1 0  22.8  3.900  9
4 2 0  77.4  1.233  6

Cell and atoms:
a b c (Å): 5.516 5.516 5.516
angles (deg): 90.00 90.00 90.00
Space group Pm-3 (No. 200)
Symmetry-distinct sites (fractional):
Sr (0.000, 0.000, 0.000) [1 per cell]
Cd (0.500, 0.500, 0.500) [1 per cell]
Au (0.000, 0.254, 0.500) [6 per cell]

***

Record 4
Computed PXRD pattern of Na6MnCl8 for Cu Kα, from a PBE-relaxed structure.
Intensities are scaled so that the largest is 100.

Peak list (10 most intense, 10 to 90 degrees two-theta, most intense first)
index  2theta  d_spacing  Rel. int.
4 0 0  31.6  2.830  100
4 4 0  45.3  2.001  63
1 1 1  13.6  6.535  37
8 4 0  75.1  1.265  21
4 4 4  56.3  1.634  19
8 4 4  83.7  1.155  14
5 1 1  41.5  2.178  12
8 0 0  66.0  1.415  8
5 3 1  47.5  1.913  7
5 5 1  58.2  1.585  7

Cell and atoms:
a b c (Å): 11.318 11.318 11.318
angles (deg): 90.00 90.00 90.00
Space group Fm-3m (No. 225)
Symmetry-distinct sites (fractional):
Na (0.000, 0.250, 0.250) [24 per cell]
Mn (0.000, 0.000, 0.000) [4 per cell]
Cl (0.000, 0.000, 0.227) [24 per cell]
Cl (0.250, 0.250, 0.250) [8 per cell]

***

Record 5
Computed PXRD pattern of MoPd4Au for Cu Kα, from a PBE-relaxed structure.
Intensities are scaled so that the largest is 100.

Peak list (10 most intense, 10 to 90 degrees two-theta, most intense first)
index  2theta  d_spacing  Rel. int.
1 1 0  39.2  2.296  100
1 0 3  45.9  1.976  31
2 1 3  80.5  1.193  23
1 2 3  66.3  1.410  21
0 2 0  45.0  2.014  18
1 3 0  79.2  1.210  13
2 2 0  84.4  1.148  11
2 0 0  67.0  1.397  10
0 0 1  10.6  8.379  5
0 1 2  30.8  2.903  4

Cell and atoms:
a b c (Å): 2.795 4.027 8.379
angles (deg): 90.00 90.00 90.00
Space group Pmmm (No. 47)
Symmetry-distinct sites (fractional):
Mo (0.000, 0.000, 0.000) [1 per cell]
Pd (0.000, 0.000, 0.321) [2 per cell]
Pd (0.500, 0.500, 0.160) [2 per cell]
Au (0.500, 0.500, 0.500) [1 per cell]

***

Record 6
Computed PXRD pattern of Cs2TaI5Br for Cu Kα, from a PBE-relaxed structure.
Intensities are scaled so that the largest is 100.

Peak list (10 most intense, 10 to 90 degrees two-theta, most intense first)
index  2theta  d_spacing  Rel. int.
2 0 2  26.3  3.392  100
2 2 0  30.1  2.971  74
2 2 4  43.8  2.065  50
1 0 1  13.1  6.784  47
0 0 4  31.1  2.873  33
4 2 2  51.1  1.786  29
4 0 0  43.1  2.101  27
4 0 4  54.1  1.696  26
6 2 4  79.5  1.206  16
1 1 2  21.5  4.131  15

Cell and atoms:
a b c (Å): 8.404 8.404 11.492
angles (deg): 90.00 90.00 90.00
Space group I4mm (No. 107)
Symmetry-distinct sites (fractional):
Cs (0.000, 0.500, 0.000) [4 per cell]
Ta (0.000, 0.000, 0.252) [2 per cell]
I (0.000, 0.000, 0.008) [2 per cell]
I (0.237, 0.237, 0.250) [8 per cell]
Br (0.000, 0.000, 0.475) [2 per cell]

***

Record 7
Computed PXRD pattern of Sc4AgPt3 for Cu Kα, from a PBE-relaxed structure.
Intensities are scaled so that the largest is 100.

Peak list (10 most intense, 10 to 90 degrees two-theta, most intense first)
index  2theta  d_spacing  Rel. int.
1 1 0  38.3  2.353  100
1 0 4  26.8  3.327  43
3 0 0  69.2  1.358  25
2 1 4  62.4  1.488  18
2 0 8  55.2  1.663  17
0 2 4  47.4  1.920  10
1 0 16  69.1  1.360  8
1 3 4  88.1  1.109  7
2 2 0  82.0  1.175  5
0 2 16  81.8  1.177  5

Cell and atoms:
a b c (Å): 4.7013 4.7013 23.0864
angles (deg): 90.00 90.00 120.00
Space group R-3m (No. 166, hexagonal axes)
Symmetry-distinct sites (fractional):
Sc (0.0000, 0.0000, 0.1221) [6 per cell]
Sc (0.0000, 0.0000, 0.3721) [6 per cell]
Ag (0.0000, 0.0000, 0.5000) [3 per cell]
Pt (0.0000, 0.0000, 0.0000) [3 per cell]
Pt (0.0000, 0.0000, 0.2471) [6 per cell]

***

Record 8
Computed PXRD pattern of YBeIr for Cu Kα, from a PBE-relaxed structure.
Intensities are scaled so that the largest is 100.

Peak list (10 most intense, 10 to 90 degrees two-theta, most intense first)
index  2theta  d_spacing  Rel. int.
1 0 1  28.5  3.136  100
1 0 2  34.7  2.586  85
1 1 0  46.0  1.972  44
1 0 3  43.3  2.089  33
1 1 4  67.0  1.397  29
2 0 2  58.9  1.568  18
2 0 1  55.0  1.670  17
2 1 2  77.8  1.227  16
0 0 4  45.8  1.979  15
2 1 1  74.5  1.274  14

Cell and atoms:
a b c (Å): 3.9443 3.9443 7.9178
angles (deg): 90.00 90.00 120.00
Space group P6_3/mmc (No. 194)
Symmetry-distinct sites (fractional):
Y (0.0000, 0.0000, 0.0000) [2 per cell]
Be (0.3333, 0.6667, 0.2500) [2 per cell]
Ir (0.3333, 0.6667, 0.7500) [2 per cell]

***

Record 9
Computed PXRD pattern of AcGe3Pt5 for Cu Kα, from a PBE-relaxed structure.
Intensities are scaled so that the largest is 100.

Peak list (10 most intense, 10 to 90 degrees two-theta, most intense first)
index  2theta  d_spacing  Rel. int.
1 1 3  30.9  2.892  100
1 1 4  35.9  2.503  71
1 3 2  33.3  2.689  63
2 0 0  45.2  2.007  62
1 3 0  30.4  2.944  56
0 2 6  43.4  2.085  51
1 5 2  43.7  2.071  38
0 2 5  36.7  2.447  32
2 2 6  64.4  1.446  32
0 2 3  24.4  3.645  30

Cell and atoms:
a b c (Å): 4.014 12.994 13.211
angles (deg): 90.00 90.00 90.00
Space group Cmcm (No. 63)
Symmetry-distinct sites (fractional):
Ac (0.000, 0.162, 0.250) [4 per cell]
Ge (0.000, 0.108, 0.750) [4 per cell]
Ge (0.000, 0.379, 0.533) [8 per cell]
Pt (0.000, 0.000, 0.000) [4 per cell]
Pt (0.000, 0.203, 0.584) [8 per cell]
Pt (0.000, 0.463, 0.147) [8 per cell]

***

Record 10
Computed PXRD pattern of NaSbAu4 for Cu Kα, from a PBE-relaxed structure.
Intensities are scaled so that the largest is 100.

Peak list (10 most intense, 10 to 90 degrees two-theta, most intense first)
index  2theta  d_spacing  Rel. int.
-1 1 2  37.8  2.377  100
1 -2 1  35.3  2.542  81
2 1 0  34.9  2.574  80
1 2 2  36.4  2.469  76
1 0 1  19.3  4.593  66
0 1 -3  40.5  2.229  58
1 1 1  21.4  4.143  48
1 1 0  19.5  4.564  48
1 2 -2  40.4  2.234  47
0 3 0  39.7  2.273  47

Cell and atoms:
a b c (Å): 5.333 6.965 7.160
angles (deg): 89.05 78.56 78.28
Space group P-1 (No. 2)
Symmetry-distinct sites (fractional):
Na (0.244, 0.419, 0.236) [2 per cell]
Sb (0.500, 0.000, 0.000) [1 per cell]
Sb (0.500, 0.000, 0.500) [1 per cell]
Au (0.060, 0.942, 0.304) [2 per cell]
Au (0.151, 0.741, 0.953) [2 per cell]
Au (0.288, 0.334, 0.787) [2 per cell]
Au (0.301, 0.664, 0.564) [2 per cell]

***

Record 11
Computed PXRD pattern of BaLiHg6 for Cu Kα, from a PBE-relaxed structure.
Intensities are scaled so that the largest is 100.

Peak list (10 most intense, 10 to 90 degrees two-theta, most intense first)
index  2theta  d_spacing  Rel. int.
1 1 0  33.6  2.665  100
0 1 8  33.4  2.681  59
1 0 7  30.6  2.917  34
1 2 8  60.0  1.542  22
2 0 8  48.1  1.890  21
1 1 15  63.4  1.467  21
0 2 7  46.1  1.969  20
3 0 0  60.1  1.539  19
2 2 0  70.7  1.333  12
2 1 7  58.3  1.583  11

Cell and atoms:
a b c (Å): 5.3304 5.3304 26.3442
angles (deg): 90.00 90.00 120.00
Space group R-3m (No. 166, hexagonal axes)
Symmetry-distinct sites (fractional):
Ba (0.0000, 0.0000, 0.0000) [3 per cell]
Li (0.0000, 0.0000, 0.5000) [3 per cell]
Hg (0.0000, 0.0000, 0.1398) [6 per cell]
Hg (0.0000, 0.0000, 0.2573) [6 per cell]
Hg (0.0000, 0.0000, 0.3952) [6 per cell]

***

Record 12
Computed PXRD pattern of AlSi2Ag for Cu Kα, from a PBE-relaxed structure.
Intensities are scaled so that the largest is 100.

Peak list (10 most intense, 10 to 90 degrees two-theta, most intense first)
index  2theta  d_spacing  Rel. int.
1 0 4  38.9  2.316  100
0 1 8  45.4  1.998  63
0 0 6  19.5  4.563  33
0 0 12  39.5  2.281  31
1 0 16  66.6  1.405  25
1 0 1  36.7  2.451  23
1 1 12  79.5  1.206  23
0 1 2  37.1  2.422  20
0 1 5  40.2  2.245  20
1 1 0  65.7  1.421  20

Cell and atoms:
a b c (Å): 2.8418 2.8418 27.3774
angles (deg): 90.00 90.00 120.00
Space group R-3m (No. 166, hexagonal axes)
Symmetry-distinct sites (fractional):
Al (0.0000, 0.0000, 0.0000) [3 per cell]
Si (0.0000, 0.0000, 0.2539) [6 per cell]
Ag (0.0000, 0.0000, 0.5000) [3 per cell]